# PrSiGeRh3
Calculated powder XRD pattern, λ = 1.5418 Å (Cu Kα). Input: a PBE-relaxed structure.
No peak broadening, texture or thermal motion is included.

Principal peaks in the range 2θ from 15° to 90°, by angle:
2θ (°), I/Imax
19.67, 242
24.33, 787
33.47, 1000
33.57, 993
34.38, 270
44.62, 899
49.00, 931
51.47, 399
75.00, 210
75.17, 250

```
PrSiGeRh3
1.0
2.877 -7.317 0.000
2.877 7.317 0.000
0.000 0.000 5.734
Pr Si Ge Rh
2 2 2 6
Cartesian
2.877 4.240 4.301
2.877 -4.240 1.434
2.877 6.110 1.434
2.877 -6.110 4.301
2.877 1.341 1.434
2.877 -1.341 4.301
2.877 3.774 1.434
1.420 0.000 0.000
1.420 0.000 2.867
4.334 0.000 0.000
4.334 0.000 2.867
2.877 -3.774 4.301
```


# Ba2Tl6InSn
Calculated powder XRD pattern, λ = 1.5418 Å (Cu Kα). Input: a PBE-relaxed structure.
No peak broadening, texture or thermal motion is included.

Principal peaks in the range 2θ from 15° to 90°, by angle:
2θ (°), I/Imax
15.06, 236
26.25, 563
28.64, 1000
30.38, 418
31.61, 161
33.23, 623
34.54, 521
41.55, 339
46.65, 221
59.34, 163

```
Ba2Tl6InSn
1.0
8.972 0.000 0.000
0.000 10.388 0.000
0.000 0.000 7.792
Ba Tl In Sn
4 12 2 2
Cartesian
2.243 0.052 1.703
2.243 5.143 1.703
6.729 5.246 6.089
6.729 10.337 6.089
0.555 2.597 7.113
0.708 7.791 4.011
2.243 0.093 5.729
2.243 5.101 5.729
3.778 7.791 4.011
3.931 2.597 7.113
5.041 7.791 0.679
5.194 2.597 3.782
6.729 5.287 2.063
6.729 10.295 2.063
8.264 2.597 3.782
8.417 7.791 0.679
2.243 7.791 7.061
6.729 2.597 0.732
2.243 2.597 4.070
6.729 7.791 3.723
```


# Y3ErIr3
Calculated powder XRD pattern, λ = 1.5418 Å (Cu Kα). Input: a PBE-relaxed structure.
No peak broadening, texture or thermal motion is included.

Principal peaks in the range 2θ from 15° to 90°, by angle:
2θ (°), I/Imax
18.30, 392
32.13, 221
37.09, 1000
37.34, 981
53.65, 346
66.69, 180
67.19, 351
67.36, 174
79.01, 112
79.63, 109

```
Y3ErIr3
1.0
4.816 2.780 1.986
-4.816 2.780 1.986
0.000 -5.561 1.986
Y Er Ir
3 1 3
Cartesian
-2.408 -1.390 1.986
-2.408 1.390 3.971
0.000 2.780 1.986
0.000 0.000 0.000
-4.816 0.000 2.978
-2.408 1.390 0.993
2.408 1.390 0.993
```


# LiMg5Ag
Calculated powder XRD pattern, λ = 1.5418 Å (Cu Kα). Input: a PBE-relaxed structure.
No peak broadening, texture or thermal motion is included.

Principal peaks in the range 2θ from 15° to 90°, by angle:
2θ (°), I/Imax
16.64, 811
19.25, 1000
20.57, 696
22.09, 535
33.65, 411
34.47, 432
35.09, 367
37.87, 609
49.41, 311
51.54, 328

```
LiMg5Ag
1.0
5.115 0.000 0.000
0.000 8.049 0.000
0.000 0.000 10.654
Li Mg Ag
2 10 2
Cartesian
0.000 0.000 0.000
2.557 4.025 5.327
0.000 0.000 2.701
0.000 0.000 7.953
0.000 2.586 5.327
0.000 4.025 0.000
0.000 5.463 5.327
2.557 0.000 5.327
2.557 1.439 0.000
2.557 4.025 2.626
2.557 4.025 8.027
2.557 6.611 0.000
0.000 0.000 5.327
2.557 4.025 0.000
```


# Sm2Ga2Pd5Au
Calculated powder XRD pattern, λ = 1.5418 Å (Cu Kα). Input: a PBE-relaxed structure.
No peak broadening, texture or thermal motion is included.

Principal peaks in the range 2θ from 15° to 90°, by angle:
2θ (°), I/Imax
31.12, 192
34.94, 343
37.29, 1000
37.43, 395
40.60, 282
40.73, 168
48.19, 217
62.56, 173
71.88, 97
82.60, 136

```
Sm2Ga2Pd5Au
1.0
9.906 0.000 0.000
0.000 9.906 0.000
0.000 0.000 3.777
Sm Ga Pd Au
4 4 10 2
Cartesian
1.772 3.182 0.000
3.182 8.135 0.000
6.725 1.772 0.000
8.135 6.725 0.000
1.187 6.141 0.000
3.766 1.187 0.000
6.141 8.719 0.000
8.719 3.766 0.000
0.000 4.953 1.888
0.614 7.855 1.888
2.051 0.614 1.888
2.902 5.567 1.888
4.339 2.902 1.888
4.953 0.000 1.888
5.567 7.004 1.888
7.004 4.339 1.888
7.855 9.292 1.888
9.292 2.051 1.888
0.000 0.000 0.000
4.953 4.953 0.000
```


# Li2PuH8Ir
Calculated powder XRD pattern, λ = 1.5418 Å (Cu Kα). Input: a PBE-relaxed structure.
No peak broadening, texture or thermal motion is included.

Principal peaks in the range 2θ from 15° to 90°, by angle:
2θ (°), I/Imax
23.31, 1000
29.11, 196
37.62, 606
40.96, 254
47.66, 151
51.04, 262
56.82, 190
64.62, 127
65.59, 127
72.40, 186

```
Li2PuH8Ir
1.0
4.406 0.000 0.000
-2.203 3.816 0.000
0.000 0.000 6.136
Li Pu H Ir
2 1 8 1
Cartesian
0.000 2.544 2.279
2.203 1.272 3.857
0.000 0.000 0.000
0.000 1.323 4.099
-1.058 3.155 4.099
0.000 2.544 0.275
1.145 0.661 2.037
1.058 3.155 4.099
2.203 1.272 5.861
3.261 0.661 2.037
2.203 2.493 2.037
0.000 0.000 3.068
```


# LaPmPd3
Calculated powder XRD pattern, λ = 1.5418 Å (Cu Kα). Input: a PBE-relaxed structure.
No peak broadening, texture or thermal motion is included.

Principal peaks in the range 2θ from 15° to 90°, by angle:
2θ (°), I/Imax
33.81, 504
33.98, 1000
35.65, 319
35.89, 225
40.04, 155
42.51, 135
44.74, 217
44.93, 242
65.28, 138
75.65, 174

```
LaPmPd3
1.0
7.037 0.000 0.000
0.000 8.032 0.000
0.000 0.000 8.069
La Pm Pd
4 4 12
Cartesian
1.549 1.095 0.000
1.970 5.111 4.035
5.068 2.921 4.035
5.488 6.937 0.000
1.530 1.083 4.035
1.989 5.099 0.000
5.049 2.933 0.000
5.508 6.949 4.035
0.000 4.016 1.972
0.000 4.016 6.097
0.822 6.875 2.035
0.822 6.875 6.035
2.696 2.860 2.000
2.696 2.860 6.069
3.519 0.000 2.063
3.519 0.000 6.006
4.341 5.172 2.000
4.341 5.172 6.069
6.215 1.156 2.035
6.215 1.156 6.035
```


# K2HgTe2
Calculated powder XRD pattern, λ = 1.5418 Å (Cu Kα). Input: a PBE-relaxed structure.
No peak broadening, texture or thermal motion is included.

Principal peaks in the range 2θ from 15° to 90°, by angle:
2θ (°), I/Imax
17.86, 415
18.41, 1000
24.57, 279
24.87, 553
27.38, 276
30.62, 219
35.24, 219
37.32, 243
39.86, 257
45.95, 198

```
K2HgTe2
1.0
8.787 -3.581 0.000
8.787 3.581 0.000
-0.582 0.000 7.246
K Hg Te
4 2 4
Cartesian
5.586 1.797 5.969
11.116 1.797 4.900
5.877 -1.797 2.346
11.407 -1.797 1.277
8.642 1.781 1.811
8.351 -1.781 5.434
6.066 1.783 2.418
11.217 1.783 1.205
5.775 -1.783 6.041
10.926 -1.783 4.828
```